# CaEuZrFeO6
Computed PXRD pattern, CuKα. Input: DFT lattice parameters and positions (PBE+U).
Peak positions follow from Bragg's law for the DFT cell and can differ from measured ones.

Structural model:
Cell: 5.5917 5.5917 5.5917 Å, 60.00 60.00 60.00°
Sites, in units of the cell vectors:
Ca  0.0000  0.0000  0.0000
Eu  0.5000  0.5000  0.5000
Zr  0.7500  0.7500  0.7500
Fe  0.2500  0.2500  0.2500
O  0.0116  0.0116  0.4884
O  0.0116  0.4884  0.0116
O  0.0116  0.4884  0.4884
O  0.4884  0.0116  0.0116
O  0.4884  0.0116  0.4884
O  0.4884  0.4884  0.0116

Most intense lines, 5 to 70 degrees two-theta, in order of rising 2θ:
19.44°, d 4.566, rel. 28
32.01°, d 2.796, rel. 100
37.73°, d 2.384, rel. 18
39.47°, d 2.283, rel. 7
45.90°, d 1.977, rel. 35
50.29°, d 1.814, rel. 8
57.06°, d 1.614, rel. 38
60.87°, d 1.522, rel. 6
66.94°, d 1.398, rel. 20